(1)
Theoretical X-ray powder pattern
Compound: NiB12H12
Radiation: a wavelength of 1.5418 Å
Structure: a structure optimized by DFT (PBE)

Structural model:
```
50
Lattice="7.2164 0.0000 0.0000 0.0000 7.3225 0.0000 0.0000 0.0000 7.4364" Properties=species:S:1:pos:R:3 pbc="T T T"
Ni 0.0000 1.2180 0.0000
Ni 3.6082 6.1045 3.7182
B 0.0000 4.6199 7.2704
B 0.0000 4.6283 2.7403
B 0.0000 6.3637 7.3340
B 0.0000 6.4060 2.7663
B 0.8821 6.9283 1.3079
B 0.8855 4.0754 1.2836
B 1.4159 5.5142 2.1711
B 1.4504 5.5029 0.3988
B 2.1578 1.8196 4.1170
B 2.1923 1.8083 5.8893
B 2.7227 3.2470 5.0018
B 2.7262 0.3942 5.0261
B 3.6082 0.9165 6.4845
B 3.6082 0.9588 3.6158
B 3.6082 2.6942 6.4585
B 3.6082 2.7026 3.5522
B 4.4903 0.3942 5.0261
B 4.4937 3.2470 5.0018
B 5.0242 1.8083 5.8893
B 5.0586 1.8196 4.1170
B 5.7660 5.5029 0.3988
B 5.8005 5.5142 2.1711
B 6.3309 4.0754 1.2836
B 6.3344 6.9283 1.3079
H 0.0000 4.0100 3.7575
H 0.0000 4.0209 6.2409
H 0.0000 7.0386 3.7752
H 0.0000 7.1025 6.3207
H 1.1043 2.0105 6.4723
H 1.1419 1.7967 3.4965
H 1.4415 0.7074 1.2348
H 1.5116 3.0528 1.3086
H 2.0966 4.2697 5.0268
H 2.1667 6.6151 4.9530
H 2.4663 5.5257 7.2147
H 2.5039 5.3120 2.7541
H 3.6082 0.2200 2.6025
H 3.6082 0.2839 0.0570
H 3.6082 3.3016 2.5227
H 3.6082 3.3125 0.0393
H 4.7125 5.3120 2.7541
H 4.7501 5.5257 7.2147
H 5.0497 6.6151 4.9530
H 5.1198 4.2697 5.0268
H 5.7048 3.0528 1.3086
H 5.7749 0.7074 1.2348
H 6.0745 1.7967 3.4965
H 6.1121 2.0105 6.4723
```

Peak list (6 most intense, 10 to 90 degrees two-theta, by intensity)
- (1 0 1), 2θ = 17.12°, d 5.179, intensity 100.0
- (0 1 1), 2θ = 16.99°, d 5.218, intensity 32.9
- (2 1 1), 2θ = 30.11°, d 2.968, intensity 19.6
- (1 1 2), 2θ = 29.65°, d 3.013, intensity 14.1
- (2 0 2), 2θ = 34.64°, d 2.589, intensity 13.3
- (1 1 1), 2θ = 21.01°, d 4.228, intensity 13.1

=====

(2)
Theoretical X-ray powder pattern
Compound: PrBH8SO10
Radiation: a wavelength of 1.5418 Å
Structure: a structure optimized by DFT (PBE)

Structural model:
```
42
Lattice="6.1380 0.0000 0.0000 0.0000 9.3236 0.0000 -0.4326 0.0000 6.8174" Properties=species:S:1:pos:R:3 pbc="T T T"
Pr 0.9930 2.3309 2.0387
Pr 4.7123 6.9927 4.7787
B 1.6518 6.9927 4.8579
B 4.0535 2.3309 1.9595
H -0.1753 0.5074 5.0299
H -0.1753 4.1544 5.0299
H 1.2883 5.3705 1.4452
H 1.2883 8.6149 1.4452
H 1.2876 6.9927 2.8560
H 1.5665 6.9927 0.0033
H 2.1691 4.9865 4.6754
H 2.1691 8.9989 4.6754
H 3.5363 0.3247 2.1419
H 3.5363 4.3371 2.1419
H 4.1389 2.3309 6.8140
H 4.4177 2.3309 3.9614
H 4.4170 0.7087 5.3722
H 4.4170 3.9531 5.3722
H 5.8806 5.1692 1.7875
H 5.8806 8.8162 1.7875
S 1.7882 2.3309 5.1870
S 3.9171 6.9927 1.6303
O 0.5832 4.7056 1.5653
O 0.5832 9.2798 1.5653
O 0.7573 6.9927 3.6797
O 0.6823 6.9927 5.9504
O 1.1029 2.3309 6.4663
O 1.3733 1.1403 4.3742
O 1.3733 3.5215 4.3742
O 2.4290 6.9927 1.4768
O 2.5828 5.8557 4.8868
O 2.5828 8.1298 4.8868
O 3.1225 1.1938 1.9305
O 3.1225 3.4680 1.9305
O 3.2764 2.3309 5.3406
O 4.3320 5.8021 2.4432
O 4.3320 8.1834 2.4432
O 4.6024 6.9927 0.3511
O 5.0230 2.3309 0.8669
O 4.9481 2.3309 3.1376
O 5.1221 0.0438 5.2521
O 5.1221 4.6180 5.2521
```

Peak list (6 most intense, 10 to 90 degrees two-theta, by intensity)
- (1 1 0), 2θ = 17.32°, d 5.120, intensity 100.0
- (0 2 0), 2θ = 19.04°, d 4.662, intensity 99.3
- (0 1 1), 2θ = 16.11°, d 5.503, intensity 65.0
- (0 0 2), 2θ = 26.14°, d 3.409, intensity 48.6
- (1 1 -1), 2θ = 21.14°, d 4.202, intensity 32.1
- (1 1 2), 2θ = 32.31°, d 2.771, intensity 31.8

=====

What did the first record say?
Theoretical X-ray powder pattern
Compound: NiB12H12
Radiation: a wavelength of 1.5418 Å
Structure: a structure optimized by DFT (PBE)

Structural model:
```
50
Lattice="7.2164 0.0000 0.0000 0.0000 7.3225 0.0000 0.0000 0.0000 7.4364" Properties=species:S:1:pos:R:3 pbc="T T T"
Ni 0.0000 1.2180 0.0000
Ni 3.6082 6.1045 3.7182
B 0.0000 4.6199 7.2704
B 0.0000 4.6283 2.7403
B 0.0000 6.3637 7.3340
B 0.0000 6.4060 2.7663
B 0.8821 6.9283 1.3079
B 0.8855 4.0754 1.2836
B 1.4159 5.5142 2.1711
B 1.4504 5.5029 0.3988
B 2.1578 1.8196 4.1170
B 2.1923 1.8083 5.8893
B 2.7227 3.2470 5.0018
B 2.7262 0.3942 5.0261
B 3.6082 0.9165 6.4845
B 3.6082 0.9588 3.6158
B 3.6082 2.6942 6.4585
B 3.6082 2.7026 3.5522
B 4.4903 0.3942 5.0261
B 4.4937 3.2470 5.0018
B 5.0242 1.8083 5.8893
B 5.0586 1.8196 4.1170
B 5.7660 5.5029 0.3988
B 5.8005 5.5142 2.1711
B 6.3309 4.0754 1.2836
B 6.3344 6.9283 1.3079
H 0.0000 4.0100 3.7575
H 0.0000 4.0209 6.2409
H 0.0000 7.0386 3.7752
H 0.0000 7.1025 6.3207
H 1.1043 2.0105 6.4723
H 1.1419 1.7967 3.4965
H 1.4415 0.7074 1.2348
H 1.5116 3.0528 1.3086
H 2.0966 4.2697 5.0268
H 2.1667 6.6151 4.9530
H 2.4663 5.5257 7.2147
H 2.5039 5.3120 2.7541
H 3.6082 0.2200 2.6025
H 3.6082 0.2839 0.0570
H 3.6082 3.3016 2.5227
H 3.6082 3.3125 0.0393
H 4.7125 5.3120 2.7541
H 4.7501 5.5257 7.2147
H 5.0497 6.6151 4.9530
H 5.1198 4.2697 5.0268
H 5.7048 3.0528 1.3086
H 5.7749 0.7074 1.2348
H 6.0745 1.7967 3.4965
H 6.1121 2.0105 6.4723
```

Peak list (6 most intense, 10 to 90 degrees two-theta, by intensity)
- (1 0 1), 2θ = 17.12°, d 5.179, intensity 100.0
- (0 1 1), 2θ = 16.99°, d 5.218, intensity 32.9
- (2 1 1), 2θ = 30.11°, d 2.968, intensity 19.6
- (1 1 2), 2θ = 29.65°, d 3.013, intensity 14.1
- (2 0 2), 2θ = 34.64°, d 2.589, intensity 13.3
- (1 1 1), 2θ = 21.01°, d 4.228, intensity 13.1